Computed powder diffraction line list of Be4SnGe3O12 for Cu Kα (λ = 1.5418 Å), from a structure optimized by DFT (PBE).
Intensities are scaled so that the largest is 100.

Main lines, sorted by position (15° ≤ 2θ ≤ 90°):
2θ 18.24, I = 43
2θ 24.60, I = 100
2θ 30.80, I = 31
2θ 33.08, I = 78
2θ 46.60, I = 35
2θ 54.20, I = 21

Cell and atoms:
```
data_Be4SnGe3O12
_cell_length_a 6.091
_cell_length_b 6.091
_cell_length_c 6.091
_cell_angle_alpha 105.99
_cell_angle_beta 105.99
_cell_angle_gamma 105.99
_symmetry_space_group_name_H-M 'P 1'
_symmetry_Int_Tables_number 1
loop_
_symmetry_equiv_pos_as_xyz
'x,y,z'
loop_
_atom_site_label
_atom_site_fract_x
_atom_site_fract_y
_atom_site_fract_z
Be1 0.000 0.000 0.000
Be2 0.000 0.439 0.561
Be3 0.439 0.561 0.000
Be4 0.561 0.000 0.439
Sn1 0.500 0.500 0.500
Ge1 0.064 0.936 0.500
Ge2 0.500 0.064 0.936
Ge3 0.936 0.500 0.064
O1 0.000 0.594 0.406
O2 0.000 0.842 0.158
O3 0.157 0.276 0.533
O4 0.158 0.000 0.842
O5 0.276 0.533 0.157
O6 0.406 0.000 0.594
O7 0.467 0.724 0.843
O8 0.533 0.157 0.276
O9 0.594 0.406 0.000
O10 0.724 0.843 0.467
O11 0.842 0.158 0.000
O12 0.843 0.467 0.724
```